(1)
Simulated X-ray diffraction stick pattern of SnSb2TeI for Cu Kα, from a crystal structure in Alexandria, relaxed with PBE.
Lines closer than 0.1° are merged.

Most intense lines, 10° ≤ 2θ ≤ 80°, by angle:
2θ/deg	I/Imax
15.23	23.8
21.60	19.1
26.53	68.9
30.73	100.0
34.47	12.2
44.02	74.2
52.13	32.0
54.64	26.0
70.55	13.0
72.64	22.3

Atomic structure:
a = 5.8220 Å, b = 5.8220 Å, c = 5.8126 Å
α = 90.00°, β = 90.00°, γ = 90.00°
Positions (direct):
Sn 0.0000 0.0000 0.0000
Sb 0.0000 0.5000 0.5000
Sb 0.5000 0.0000 0.5000
Te 0.5000 0.5000 0.5000
I 0.5000 0.5000 0.0000



(2)
Simulated X-ray diffraction stick pattern of Sr4Sb2I3 for Cu Kα, from a crystal structure in Alexandria, relaxed with PBE.
Lines closer than 0.1° are merged.

Most intense lines, 10° ≤ 2θ ≤ 80°, by angle:
2θ/deg	I/Imax
23.40	10.1
25.45	100.0
28.07	18.1
31.16	10.0
34.58	20.5
37.95	44.2
38.28	22.9
46.25	20.6
60.41	18.0
61.31	17.1

Atomic structure:
a = 4.7422 Å, b = 4.7422 Å, c = 20.0745 Å
α = 90.00°, β = 90.00°, γ = 120.00°
Positions (direct):
Sr 0.0000 0.0000 0.1911
Sr 0.0000 0.0000 0.8089
Sr 0.3333 0.6667 0.3829
Sr 0.6667 0.3333 0.6171
Sb 0.3333 0.6667 0.7051
Sb 0.6667 0.3333 0.2949
I 0.0000 0.0000 0.5000
I 0.3333 0.6667 0.1002
I 0.6667 0.3333 0.8998



(3)
Simulated X-ray diffraction stick pattern of Tb5Sb4I for Cu Kα, from a crystal structure in Alexandria, relaxed with PBE.
Lines closer than 0.1° are merged.

Most intense lines, 10° ≤ 2θ ≤ 80°, by angle:
2θ/deg	I/Imax
28.57	100.0
28.75	50.6
40.85	36.6
40.98	75.6
50.71	39.0
59.14	11.4
67.02	31.0
67.34	17.2
74.46	22.7
74.73	12.3

Atomic structure:
a = 7.6453 Å, b = 7.6453 Å, c = 7.6453 Å
α = 99.50°, β = 99.50°, γ = 132.07°
Positions (direct):
Tb 0.0000 0.0000 0.0000
Tb 0.1818 0.6037 0.7854
Tb 0.3963 0.1818 0.5781
Tb 0.6037 0.8182 0.4219
Tb 0.8182 0.3963 0.2146
Sb 0.1065 0.2956 0.4020
Sb 0.2956 0.8935 0.1891
Sb 0.7044 0.1065 0.8109
Sb 0.8935 0.7044 0.5980
I 0.5000 0.5000 0.0000